Record 1
Computed powder diffractogram of Mg6MnVO8 for copper Kα, from DFT lattice parameters and positions (PBE+U).
Peak positions follow from Bragg's law for the DFT cell and can differ from measured ones.

abc: 4.328 4.328 8.617
angles: 90.00 90.00 90.00
Fractional positions:
Mg 0.000 0.000 0.000
Mg 0.000 0.500 0.247
Mg 0.000 0.500 0.753
Mg 0.500 0.000 0.247
Mg 0.500 0.000 0.753
Mg 0.500 0.500 0.000
Mn 0.000 0.000 0.500
V 0.500 0.500 0.500
O 0.000 0.000 0.243
O 0.000 0.000 0.757
O 0.000 0.500 0.000
O 0.000 0.500 0.500
O 0.500 0.000 0.000
O 0.500 0.000 0.500
O 0.500 0.500 0.245
O 0.500 0.500 0.755

Principal peaks in the range 10° ≤ 2θ ≤ 90°, in order of rising 2θ:
10.27°, rel. 27.0
36.00°, rel. 33.8
41.74°, rel. 100.0
41.94°, rel. 49.0
60.51°, rel. 28.3
60.66°, rel. 55.8
72.46°, rel. 11.5
76.34°, rel. 25.4

---

Record 2
Computed powder diffractogram of MgMnV3O8 for copper Kα, from DFT lattice parameters and positions (PBE+U).
Peak positions follow from Bragg's law for the DFT cell and can differ from measured ones.

abc: 5.405 5.603 7.086
angles: 87.42 88.72 89.86
Fractional positions:
Mg 0.000 0.000 0.000
Mn 0.985 0.016 0.502
V 0.494 0.336 0.997
V 0.504 0.838 0.266
V 0.993 0.503 0.732
O 0.313 0.402 0.795
O 0.344 0.907 0.467
O 0.356 0.034 0.070
O 0.470 0.525 0.191
O 0.831 0.310 0.928
O 0.831 0.920 0.248
O 0.922 0.372 0.526
O 0.945 0.819 0.767

Principal peaks in the range 10° ≤ 2θ ≤ 90°, in order of rising 2θ:
19.78°, rel. 97.6
20.45°, rel. 89.8
20.67°, rel. 51.6
20.90°, rel. 100.0
30.49°, rel. 36.9
31.98°, rel. 41.4
33.15°, rel. 70.2
36.14°, rel. 38.4

---

Record 3
Computed powder diffractogram of MgMn3VO8 for copper Kα, from DFT lattice parameters and positions (PBE+U).
Peak positions follow from Bragg's law for the DFT cell and can differ from measured ones.

abc: 5.821 5.821 7.017
angles: 124.91 124.91 60.15
Fractional positions:
Mg 0.000 0.000 0.000
Mn 0.251 0.749 0.500
Mn 0.269 0.270 0.002
Mn 0.730 0.731 0.998
V 0.744 0.256 0.500
O 0.007 0.546 0.842
O 0.016 0.008 0.702
O 0.454 0.993 0.158
O 0.488 0.498 0.683
O 0.502 0.512 0.317
O 0.561 0.020 0.860
O 0.980 0.439 0.140
O 0.992 0.984 0.298

Principal peaks in the range 10° ≤ 2θ ≤ 90°, in order of rising 2θ:
17.66°, rel. 100.0
34.07°, rel. 10.3
35.17°, rel. 20.6
37.36°, rel. 18.4
40.22°, rel. 32.1
48.16°, rel. 13.0
52.01°, rel. 22.5
61.69°, rel. 12.5

---

Record 4
Computed powder diffractogram of MgMn3V2O10 for copper Kα, from DFT lattice parameters and positions (PBE+U).
Peak positions follow from Bragg's law for the DFT cell and can differ from measured ones.

abc: 5.263 5.287 7.695
angles: 99.55 109.81 102.00
Fractional positions:
Mg 0.000 0.000 0.000
Mn 0.286 0.528 0.417
Mn 0.670 0.228 0.318
Mn 0.901 0.833 0.517
V 0.064 0.431 0.730
V 0.514 0.647 0.096
O 0.048 0.221 0.463
O 0.132 0.669 0.970
O 0.233 0.724 0.634
O 0.320 0.313 0.188
O 0.479 0.448 0.887
O 0.515 0.839 0.367
O 0.680 0.979 0.091
O 0.702 0.459 0.560
O 0.849 0.602 0.265
O 0.946 0.094 0.753

Principal peaks in the range 10° ≤ 2θ ≤ 90°, in order of rising 2θ:
12.65°, rel. 66.5
17.75°, rel. 32.5
18.07°, rel. 100.0
21.85°, rel. 27.2
34.89°, rel. 52.4
42.23°, rel. 47.7
42.59°, rel. 48.8
43.28°, rel. 44.7

---

Record 5
Computed powder diffractogram of MgMn2V2O8 for copper Kα, from DFT lattice parameters and positions (PBE+U).
Peak positions follow from Bragg's law for the DFT cell and can differ from measured ones.

abc: 6.525 5.319 5.319
angles: 66.45 90.00 90.00
Fractional positions:
Mg 0.000 0.000 0.000
Mn 0.258 0.341 0.341
Mn 0.742 0.341 0.341
V 0.000 0.690 0.690
V 0.500 0.983 0.983
O 0.000 0.061 0.584
O 0.000 0.584 0.061
O 0.207 0.576 0.576
O 0.274 0.094 0.094
O 0.500 0.114 0.626
O 0.500 0.626 0.114
O 0.726 0.094 0.094
O 0.793 0.576 0.576

Principal peaks in the range 10° ≤ 2θ ≤ 90°, in order of rising 2θ:
22.77°, rel. 41.6
24.21°, rel. 27.9
30.68°, rel. 46.6
33.03°, rel. 100.0
33.91°, rel. 58.1
46.50°, rel. 26.9
49.60°, rel. 18.3
59.45°, rel. 41.0

---

Record 6
Computed powder diffractogram of MgMn3VO8 for copper Kα, from DFT lattice parameters and positions (PBE+U).
Peak positions follow from Bragg's law for the DFT cell and can differ from measured ones.

abc: 5.990 5.995 6.055
angles: 119.28 90.47 119.75
Fractional positions:
Mg 0.000 0.000 0.000
Mn 0.000 0.000 0.500
Mn 0.500 0.000 0.500
Mn 0.500 0.500 0.500
V 0.000 0.500 0.500
O 0.205 0.954 0.708
O 0.234 0.463 0.697
O 0.246 0.498 0.292
O 0.247 0.042 0.289
O 0.753 0.958 0.711
O 0.754 0.502 0.708
O 0.766 0.537 0.303
O 0.795 0.046 0.292

Principal peaks in the range 10° ≤ 2θ ≤ 90°, in order of rising 2θ:
17.80°, rel. 100.0
34.98°, rel. 20.4
35.20°, rel. 10.8
36.62°, rel. 11.8
42.23°, rel. 47.3
42.64°, rel. 23.2
61.20°, rel. 11.7
61.94°, rel. 12.8

---

Record 7
Computed powder diffractogram of MgMnV3O8 for copper Kα, from DFT lattice parameters and positions (PBE+U).
Peak positions follow from Bragg's law for the DFT cell and can differ from measured ones.

abc: 5.437 5.639 6.927
angles: 91.92 90.70 91.36
Fractional positions:
Mg 0.000 0.000 0.000
Mn 0.518 0.359 0.005
V 0.032 0.497 0.257
V 0.490 0.857 0.743
V 0.985 0.010 0.491
O 0.331 0.939 0.540
O 0.348 0.483 0.238
O 0.360 0.021 0.938
O 0.437 0.567 0.781
O 0.822 0.923 0.739
O 0.884 0.325 0.055
O 0.928 0.329 0.463
O 0.949 0.826 0.246

Principal peaks in the range 10° ≤ 2θ ≤ 90°, in order of rising 2θ:
19.98°, rel. 62.8
20.65°, rel. 100.0
20.91°, rel. 59.9
29.83°, rel. 22.6
30.77°, rel. 22.8
31.77°, rel. 34.1
32.96°, rel. 45.8
34.19°, rel. 30.4

---

Record 8
Computed powder diffractogram of MgMnV2O6 for copper Kα, from DFT lattice parameters and positions (PBE+U).
Peak positions follow from Bragg's law for the DFT cell and can differ from measured ones.

abc: 5.195 5.195 6.717
angles: 113.99 113.99 44.64
Fractional positions:
Mg 0.000 0.000 0.000
Mn 0.516 0.516 0.705
V 0.341 0.341 0.135
V 0.718 0.718 0.374
O 0.176 0.176 0.881
O 0.228 0.228 0.320
O 0.508 0.508 0.029
O 0.556 0.556 0.433
O 0.848 0.848 0.175
O 0.884 0.884 0.651

Principal peaks in the range 10° ≤ 2θ ≤ 90°, in order of rising 2θ:
24.81°, rel. 59.8
26.48°, rel. 51.0
27.65°, rel. 54.9
30.30°, rel. 100.0
31.24°, rel. 54.3
36.14°, rel. 69.9
46.01°, rel. 81.8
46.24°, rel. 48.3

---

Record 9
Computed powder diffractogram of MgMn3VO8 for copper Kα, from DFT lattice parameters and positions (PBE+U).
Peak positions follow from Bragg's law for the DFT cell and can differ from measured ones.

abc: 5.883 5.896 5.948
angles: 91.83 118.32 118.15
Fractional positions:
Mg 0.000 0.000 0.000
Mn 0.000 0.000 0.500
Mn 0.500 0.000 0.500
Mn 0.500 0.500 0.500
V 0.000 0.500 0.500
O 0.004 0.237 0.284
O 0.047 0.789 0.287
O 0.451 0.226 0.695
O 0.482 0.747 0.705
O 0.518 0.253 0.295
O 0.549 0.774 0.305
O 0.953 0.211 0.713
O 0.996 0.763 0.716

Principal peaks in the range 10° ≤ 2θ ≤ 90°, in order of rising 2θ:
17.94°, rel. 100.0
34.94°, rel. 10.8
35.06°, rel. 10.8
36.29°, rel. 15.3
41.88°, rel. 25.1
42.51°, rel. 24.0
43.97°, rel. 22.0
61.26°, rel. 6.8

---

Record 10
Computed powder diffractogram of MgMn3V2O10 for copper Kα, from DFT lattice parameters and positions (PBE+U).
Peak positions follow from Bragg's law for the DFT cell and can differ from measured ones.

abc: 5.277 5.436 7.522
angles: 108.28 100.23 102.85
Fractional positions:
Mg 0.000 0.000 0.000
Mn 0.280 0.644 0.172
Mn 0.581 0.260 0.291
Mn 0.888 0.859 0.376
V 0.484 0.004 0.602
V 0.676 0.457 0.956
O 0.031 0.628 0.949
O 0.154 0.883 0.607
O 0.263 0.011 0.308
O 0.353 0.298 0.062
O 0.492 0.377 0.717
O 0.512 0.680 0.426
O 0.678 0.826 0.117
O 0.699 0.060 0.829
O 0.780 0.173 0.492
O 0.884 0.470 0.226

Principal peaks in the range 10° ≤ 2θ ≤ 90°, in order of rising 2θ:
12.86°, rel. 72.3
17.88°, rel. 100.0
21.31°, rel. 16.8
27.31°, rel. 31.7
32.26°, rel. 16.7
40.92°, rel. 48.3
43.33°, rel. 43.9
43.50°, rel. 43.3

---

Record 11
Computed powder diffractogram of MgMnV2O6 for copper Kα, from DFT lattice parameters and positions (PBE+U).
Peak positions follow from Bragg's law for the DFT cell and can differ from measured ones.

abc: 5.316 5.316 6.612
angles: 91.09 91.09 43.86
Fractional positions:
Mg 0.000 0.000 0.000
Mn 0.313 0.313 0.749
V 0.329 0.329 0.219
V 0.990 0.990 0.490
O 0.167 0.167 0.490
O 0.197 0.197 0.032
O 0.447 0.447 0.470
O 0.464 0.464 0.026
O 0.873 0.873 0.251
O 0.896 0.896 0.733

Principal peaks in the range 10° ≤ 2θ ≤ 90°, in order of rising 2θ:
17.99°, rel. 100.0
24.16°, rel. 95.0
32.30°, rel. 53.9
32.93°, rel. 50.3
35.45°, rel. 32.6
36.39°, rel. 24.8
45.45°, rel. 31.4
45.70°, rel. 43.0

---

Record 12
Computed powder diffractogram of MgMn3V2O10 for copper Kα, from DFT lattice parameters and positions (PBE+U).
Peak positions follow from Bragg's law for the DFT cell and can differ from measured ones.

abc: 5.118 5.516 7.882
angles: 109.86 99.41 102.49
Fractional positions:
Mg 0.000 0.000 0.000
Mn 0.202 0.395 0.405
Mn 0.500 0.000 0.500
Mn 0.798 0.605 0.595
V 0.393 0.780 0.818
V 0.607 0.220 0.182
O 0.036 0.640 0.822
O 0.163 0.746 0.552
O 0.283 0.071 0.270
O 0.369 0.147 0.958
O 0.449 0.422 0.634
O 0.551 0.578 0.366
O 0.631 0.853 0.042
O 0.717 0.929 0.730
O 0.837 0.254 0.448
O 0.964 0.360 0.178

Principal peaks in the range 10° ≤ 2θ ≤ 90°, in order of rising 2θ:
12.36°, rel. 31.8
17.34°, rel. 100.0
18.38°, rel. 11.7
26.89°, rel. 11.5
34.85°, rel. 13.6
40.86°, rel. 31.9
41.74°, rel. 29.4
43.95°, rel. 26.2